No. 1
Diffraction record for MgTe4Mo3WSe2S2. The PXRD pattern is calculated, not measured: it uses a crystal structure in the Materials Project, relaxed with GGA-PBE and Cu Kα (λ = 1.5418 Å).

Crystal structure
```
data_MgTe4Mo3WSe2S2
_chemical_formula_sum 'Mg1 Te4 Mo3 W1 Se2 S2'
_cell_length_a 3.4000
_cell_length_b 3.4000
_cell_length_c 45.6754
_cell_angle_alpha 90.00
_cell_angle_beta 90.00
_cell_angle_gamma 120.00
_symmetry_space_group_name_H-M 'P 3 m 1'
_symmetry_Int_Tables_number 156
_symmetry_space_group_name_Hall 'P 3 -2"'
loop_
_atom_site_label
_atom_site_type_symbol
_atom_site_fract_x
_atom_site_fract_y
_atom_site_fract_z
_atom_site_occupancy
Mg1 Mg 0.0000 0.0000 0.0000 1
Te1 Te 0.3333 0.6667 0.2280 1
Te2 Te 0.3333 0.6667 0.3100 1
Te3 Te 0.3333 0.6667 0.8448 1
Te4 Te 0.3333 0.6667 0.9274 1
Mo1 Mo 0.3333 0.6667 0.0884 1
Mo2 Mo 0.3333 0.6667 0.7055 1
Mo3 Mo 0.6667 0.3333 0.2690 1
W1 W 0.6667 0.3333 0.8859 1
Se1 Se 0.6667 0.3333 0.6694 1
Se2 Se 0.6667 0.3333 0.7416 1
S1 S 0.6667 0.3333 0.0551 1
S2 S 0.6667 0.3333 0.1209 1
```

Main lines, by angle (2θ from 10° to 90°):
7.613 Å, 11.62 deg, I = 39; 2.943 Å, 30.37 deg, I = 58; 2.802 Å, 31.93 deg, I = 29; 2.617 Å, 34.27 deg, I = 75; 2.475 Å, 36.30 deg, I = 41; 2.257 Å, 39.95 deg, I = 100; 2.186 Å, 41.30 deg, I = 22; 2.117 Å, 42.72 deg, I = 29; 1.700 Å, 53.94 deg, I = 44; 1.358 Å, 69.19 deg, I = 19

***

No. 2
Diffraction record for MgTe4Mo3WSe2S2. The PXRD pattern is calculated, not measured: it uses a crystal structure in the Materials Project, relaxed with GGA-PBE and Cu Kα (λ = 1.5418 Å).

Crystal structure
```
data_MgTe4Mo3WSe2S2
_chemical_formula_sum 'Mg1 Te4 Mo3 W1 Se2 S2'
_cell_length_a 3.3991
_cell_length_b 3.3991
_cell_length_c 45.5352
_cell_angle_alpha 90.00
_cell_angle_beta 90.00
_cell_angle_gamma 120.00
_symmetry_space_group_name_H-M 'P 3 m 1'
_symmetry_Int_Tables_number 156
_symmetry_space_group_name_Hall 'P 3 -2"'
loop_
_atom_site_label
_atom_site_type_symbol
_atom_site_fract_x
_atom_site_fract_y
_atom_site_fract_z
_atom_site_occupancy
Mg1 Mg 0.0000 0.0000 0.0000 1
Te1 Te 0.3333 0.6667 0.2313 1
Te2 Te 0.3333 0.6667 0.3140 1
Te3 Te 0.3333 0.6667 0.8492 1
Te4 Te 0.3333 0.6667 0.9317 1
Mo1 Mo 0.3333 0.6667 0.0920 1
Mo2 Mo 0.3333 0.6667 0.7089 1
Mo3 Mo 0.6667 0.3333 0.8903 1
W1 W 0.6667 0.3333 0.2727 1
Se1 Se 0.6667 0.3333 0.6727 1
Se2 Se 0.6667 0.3333 0.7451 1
S1 S 0.6667 0.3333 0.0587 1
S2 S 0.6667 0.3333 0.1247 1
```

Main lines, by angle (2θ from 10° to 90°):
7.589 Å, 11.66 deg, I = 29; 2.943 Å, 30.37 deg, I = 52; 2.919 Å, 30.62 deg, I = 21; 2.801 Å, 31.95 deg, I = 28; 2.615 Å, 34.30 deg, I = 76; 2.472 Å, 36.34 deg, I = 45; 2.254 Å, 40.01 deg, I = 100; 2.113 Å, 42.79 deg, I = 30; 1.699 Å, 53.95 deg, I = 41; 1.357 Å, 69.24 deg, I = 19